# Co7Ge4
Calculated powder diffraction line list, Cu Kα. Input: DFT lattice parameters and positions (PBE).
No peak broadening, texture or thermal motion is included.

Crystal structure
Cell lengths 3.990, 3.990, 9.915 Å; angles 90.00, 90.00, 120.00 degrees
Sites, in units of the cell vectors:
Co 0.000 0.000 0.000
Co 0.333 0.667 0.126
Co 0.333 0.667 0.380
Co 0.333 0.667 0.620
Co 0.333 0.667 0.874
Co 0.667 0.333 0.256
Co 0.667 0.333 0.744
Ge 0.000 0.000 0.251
Ge 0.000 0.000 0.749
Ge 0.667 0.333 0.000
Ge 0.667 0.333 0.500

Main lines, in order of rising 2θ (15° ≤ 2θ ≤ 90°):
d (Å), I/Imax
2.835, 11.7
2.479, 6.8
2.014, 92.4
1.995, 100.0
1.554, 9.6
1.417, 27.7
1.155, 27.9
1.152, 15.2

# Co3Ge2
Calculated powder diffraction line list, Cu Kα. Input: DFT lattice parameters and positions (PBE).
No peak broadening, texture or thermal motion is included.

Crystal structure
Cell lengths 3.930, 3.930, 4.872 Å; angles 90.00, 90.00, 120.00 degrees
Sites, in units of the cell vectors:
Co 0.000 0.000 0.000
Co 0.667 0.333 0.258
Co 0.667 0.333 0.742
Ge 0.000 0.000 0.500
Ge 0.333 0.667 0.000

Main lines, in order of rising 2θ (15° ≤ 2θ ≤ 90°):
d (Å), I/Imax
4.872, 10.9
3.404, 14.0
2.790, 36.1
1.981, 100.0
1.965, 99.6
1.395, 29.6
1.138, 29.6
1.135, 15.3

# Co5Ge7
Calculated powder diffraction line list, Cu Kα. Input: DFT lattice parameters and positions (PBE).
No peak broadening, texture or thermal motion is included.

Crystal structure
Cell lengths 6.364, 6.364, 6.364 Å; angles 102.21, 102.21, 125.23 degrees
Sites, in units of the cell vectors:
Co 0.000 0.000 0.000
Co 0.287 0.287 0.469
Co 0.287 0.819 0.000
Co 0.819 0.287 0.000
Co 0.819 0.819 0.531
Ge 0.003 0.762 0.241
Ge 0.020 0.520 0.500
Ge 0.380 0.380 0.000
Ge 0.520 0.020 0.500
Ge 0.522 0.762 0.759
Ge 0.762 0.003 0.241
Ge 0.762 0.522 0.759

Main lines, in order of rising 2θ (15° ≤ 2θ ≤ 90°):
d (Å), I/Imax
4.722, 22.4
3.050, 43.6
2.825, 13.6
2.073, 27.7
2.033, 100.0
1.998, 61.6
1.413, 18.0
1.160, 26.7

# Co4Ge
Calculated powder diffraction line list, Cu Kα. Input: DFT lattice parameters and positions (PBE).
No peak broadening, texture or thermal motion is included.

Crystal structure
Cell lengths 9.978, 9.978, 9.978 Å; angles 15.12, 15.12, 15.12 degrees
Sites, in units of the cell vectors:
Co 0.099 0.099 0.099
Co 0.300 0.300 0.300
Co 0.700 0.700 0.700
Co 0.901 0.901 0.901
Ge 0.500 0.500 0.500

Main lines, in order of rising 2θ (15° ≤ 2θ ≤ 90°):
d (Å), I/Imax
2.122, 100.0
1.973, 26.3
1.803, 58.5
1.312, 19.0
1.240, 15.4
1.116, 11.1
1.093, 20.9

# Hf6Co16Ge7
Calculated powder diffraction line list, Cu Kα. Input: DFT lattice parameters and positions (PBE).
No peak broadening, texture or thermal motion is included.

Crystal structure
Cell lengths 8.141, 8.141, 8.141 Å; angles 60.00, 60.00, 60.00 degrees
Sites, in units of the cell vectors:
Hf 0.203 0.203 0.797
Hf 0.203 0.797 0.203
Hf 0.203 0.797 0.797
Hf 0.797 0.203 0.203
Hf 0.797 0.203 0.797
Hf 0.797 0.797 0.203
Co 0.138 0.621 0.621
Co 0.169 0.169 0.169
Co 0.169 0.169 0.493
Co 0.169 0.493 0.169
Co 0.379 0.379 0.379
Co 0.379 0.379 0.862
Co 0.379 0.862 0.379
Co 0.493 0.169 0.169
Co 0.507 0.831 0.831
Co 0.621 0.138 0.621
Co 0.621 0.621 0.138
Co 0.621 0.621 0.621
Co 0.831 0.507 0.831
Co 0.831 0.831 0.507
Co 0.831 0.831 0.831
Co 0.862 0.379 0.379
Ge 0.000 0.000 0.500
Ge 0.000 0.500 0.000
Ge 0.000 0.500 0.500
Ge 0.500 0.000 0.000
Ge 0.500 0.000 0.500
Ge 0.500 0.500 0.000
Ge 0.500 0.500 0.500

Main lines, in order of rising 2θ (15° ≤ 2θ ≤ 90°):
d (Å), I/Imax
2.878, 18.3
2.641, 25.9
2.350, 35.7
2.216, 94.9
2.035, 100.0
1.919, 18.1
1.499, 18.2
1.357, 25.0

# Ho2Co3Ge5
Calculated powder diffraction line list, Cu Kα. Input: DFT lattice parameters and positions (PBE).
No peak broadening, texture or thermal motion is included.

Crystal structure
Cell lengths 8.064, 8.064, 5.731 Å; angles 109.54, 109.54, 93.10 degrees
Sites, in units of the cell vectors:
Ho 0.093 0.367 0.234
Ho 0.367 0.093 0.734
Ho 0.633 0.907 0.266
Ho 0.907 0.633 0.766
Co 0.040 0.758 0.383
Co 0.242 0.960 0.117
Co 0.497 0.503 0.250
Co 0.503 0.497 0.750
Co 0.758 0.040 0.883
Co 0.960 0.242 0.617
Ge 0.007 0.993 0.750
Ge 0.238 0.425 0.830
Ge 0.274 0.726 0.750
Ge 0.284 0.716 0.250
Ge 0.425 0.238 0.330
Ge 0.575 0.762 0.670
Ge 0.716 0.284 0.750
Ge 0.726 0.274 0.250
Ge 0.762 0.575 0.170
Ge 0.993 0.007 0.250

Main lines, in order of rising 2θ (15° ≤ 2θ ≤ 90°):
d (Å), I/Imax
2.927, 8.0
2.864, 9.0
2.567, 21.2
2.505, 100.0
2.427, 32.4
2.047, 44.8
1.432, 9.1
1.253, 8.9

# Ho2CoGe6
Calculated powder diffraction line list, Cu Kα. Input: DFT lattice parameters and positions (PBE).
No peak broadening, texture or thermal motion is included.

Crystal structure
Cell lengths 4.064, 10.927, 10.927 Å; angles 21.04, 90.00, 90.00 degrees
Sites, in units of the cell vectors:
Ho 0.000 0.000 0.000
Ho 0.000 0.336 0.336
Co 0.500 0.777 0.777
Ge 0.000 0.606 0.606
Ge 0.000 0.722 0.722
Ge 0.500 0.104 0.104
Ge 0.500 0.221 0.221
Ge 0.500 0.458 0.458
Ge 0.500 0.883 0.883

Main lines, in order of rising 2θ (15° ≤ 2θ ≤ 90°):
d (Å), I/Imax
2.686, 39.0
2.646, 100.0
2.374, 23.3
2.049, 17.8
2.032, 23.4
1.996, 22.6
1.602, 16.3
1.424, 14.6

# HoCo2Ge2
Calculated powder diffraction line list, Cu Kα. Input: DFT lattice parameters and positions (PBE).
No peak broadening, texture or thermal motion is included.

Crystal structure
Cell lengths 5.776, 5.776, 5.776 Å; angles 139.99, 139.99, 57.86 degrees
Sites, in units of the cell vectors:
Ho 0.000 0.000 0.000
Co 0.250 0.750 0.500
Co 0.750 0.250 0.500
Ge 0.373 0.373 0.000
Ge 0.627 0.627 0.000

Main lines, in order of rising 2θ (15° ≤ 2θ ≤ 90°):
d (Å), I/Imax
2.794, 30.0
2.564, 100.0
2.446, 93.2
1.976, 58.9
1.800, 31.7
1.565, 43.9
1.443, 19.3
1.331, 23.2

# Ho2CoGe4
Calculated powder diffraction line list, Cu Kα. Input: DFT lattice parameters and positions (PBE).
No peak broadening, texture or thermal motion is included.

Crystal structure
Cell lengths 4.100, 8.189, 8.189 Å; angles 29.15, 90.00, 90.00 degrees
Sites, in units of the cell vectors:
Ho 0.000 0.000 0.000
Ho 0.500 0.209 0.209
Co 0.000 0.795 0.795
Ge 0.000 0.364 0.364
Ge 0.000 0.651 0.651
Ge 0.500 0.548 0.548
Ge 0.500 0.862 0.862

Main lines, in order of rising 2θ (15° ≤ 2θ ≤ 90°):
d (Å), I/Imax
3.641, 14.7
2.642, 13.8
2.547, 100.0
2.513, 23.0
2.221, 19.4
2.061, 21.1
2.050, 20.8
1.620, 14.5

# Ho2CoGe2
Calculated powder diffraction line list, Cu Kα. Input: DFT lattice parameters and positions (PBE).
No peak broadening, texture or thermal motion is included.

Crystal structure
Cell lengths 5.637, 5.637, 10.154 Å; angles 115.97, 115.97, 43.77 degrees
Sites, in units of the cell vectors:
Ho 0.006 0.006 0.332
Ho 0.187 0.187 0.111
Ho 0.813 0.813 0.889
Ho 0.994 0.994 0.668
Co 0.275 0.275 0.641
Co 0.725 0.725 0.359
Ge 0.347 0.347 0.434
Ge 0.488 0.488 0.125
Ge 0.512 0.512 0.875
Ge 0.653 0.653 0.566

Main lines, in order of rising 2θ (15° ≤ 2θ ≤ 90°):
d (Å), I/Imax
2.665, 89.4
2.638, 21.0
2.613, 100.0
2.412, 38.2
2.238, 24.3
2.186, 45.8
2.101, 42.5
1.407, 20.7

# HoCo6Ge6
Calculated powder diffraction line list, Cu Kα. Input: DFT lattice parameters and positions (PBE).
No peak broadening, texture or thermal motion is included.

Crystal structure
Cell lengths 5.085, 5.085, 7.866 Å; angles 90.00, 90.00, 120.00 degrees
Sites, in units of the cell vectors:
Ho 0.000 0.000 0.000
Co 0.000 0.500 0.251
Co 0.000 0.500 0.749
Co 0.500 0.000 0.251
Co 0.500 0.000 0.749
Co 0.500 0.500 0.251
Co 0.500 0.500 0.749
Ge 0.000 0.000 0.344
Ge 0.000 0.000 0.656
Ge 0.333 0.667 0.000
Ge 0.333 0.667 0.500
Ge 0.667 0.333 0.000
Ge 0.667 0.333 0.500

Main lines, in order of rising 2θ (15° ≤ 2θ ≤ 90°):
d (Å), I/Imax
2.543, 70.9
2.253, 39.7
2.202, 55.3
2.135, 100.0
1.967, 24.0
1.921, 42.9
1.271, 35.6
1.165, 25.3

# LaCoGe3
Calculated powder diffraction line list, Cu Kα. Input: DFT lattice parameters and positions (PBE).
No peak broadening, texture or thermal motion is included.

Crystal structure
Cell lengths 5.841, 5.841, 5.841 Å; angles 136.17, 136.17, 63.71 degrees
Sites, in units of the cell vectors:
La 0.000 0.000 0.000
Co 0.665 0.665 0.000
Ge 0.258 0.758 0.500
Ge 0.432 0.432 0.000
Ge 0.758 0.258 0.500

Main lines, in order of rising 2θ (15° ≤ 2θ ≤ 90°):
d (Å), I/Imax
2.635, 39.3
2.619, 100.0
2.481, 15.4
2.180, 56.4
1.680, 19.7
1.637, 17.1
1.541, 18.4
1.328, 23.6

# LaCoGe2
Calculated powder diffraction line list, Cu Kα. Input: DFT lattice parameters and positions (PBE).
No peak broadening, texture or thermal motion is included.

Crystal structure
Cell lengths 8.564, 8.564, 4.316 Å; angles 90.00, 90.00, 150.57 degrees
Sites, in units of the cell vectors:
La 0.108 0.892 0.750
La 0.892 0.108 0.250
Co 0.314 0.686 0.750
Co 0.686 0.314 0.250
Ge 0.251 0.749 0.250
Ge 0.454 0.546 0.750
Ge 0.546 0.454 0.250
Ge 0.749 0.251 0.750

Main lines, in order of rising 2θ (15° ≤ 2θ ≤ 90°):
d (Å), I/Imax
3.013, 20.2
2.679, 100.0
2.636, 35.4
2.326, 29.8
2.175, 30.7
2.158, 30.0
1.532, 19.7
1.334, 21.3

# LaCo2Ge2
Calculated powder diffraction line list, Cu Kα. Input: DFT lattice parameters and positions (PBE).
No peak broadening, texture or thermal motion is included.

Crystal structure
Cell lengths 5.888, 5.888, 5.888 Å; angles 139.14, 139.14, 59.17 degrees
Sites, in units of the cell vectors:
La 0.000 0.000 0.000
Co 0.250 0.750 0.500
Co 0.750 0.250 0.500
Ge 0.363 0.363 0.000
Ge 0.637 0.637 0.000

Main lines, in order of rising 2θ (15° ≤ 2θ ≤ 90°):
d (Å), I/Imax
2.907, 24.9
2.626, 100.0
2.528, 73.3
2.055, 58.9
1.833, 19.1
1.619, 45.5
1.472, 24.2
1.453, 18.6